(1)
Diffraction record for Mn2Ag2I7. The powder diffraction line list is computed, not measured: it uses DFT lattice parameters and positions (PBE) and Cu Kα (λ = 1.5418 Å).
Kinematic intensities with the Lorentz-polarization factor, no thermal factor.

```
Mn2Ag2I7
1.0
5.702 -6.037 0.000
5.702 6.037 0.000
-3.405 0.000 6.819
Mn Ag I
2 2 7
Direct
0.197 0.197 0.394
0.803 0.803 0.606
0.318 0.682 0.000
0.682 0.318 0.000
0.000 0.000 0.500
0.038 0.395 0.211
0.395 0.038 0.211
0.429 0.429 0.719
0.571 0.571 0.281
0.605 0.962 0.789
0.962 0.605 0.789
```

Top 8 peaks for 2θ from 10° to 80°, most intense first:
d = 3.619 Å, 2θ 24.60, I 100; d = 4.520 Å, 2θ 19.64, I 94; d = 2.338 Å, 2θ 38.50, I 81; d = 3.154 Å, 2θ 28.29, I 67; d = 5.404 Å, 2θ 16.40, I 64; d = 3.076 Å, 2θ 29.03, I 52; d = 4.436 Å, 2θ 20.01, I 50; d = 2.012 Å, 2θ 45.05, I 42

=====

(2)
Diffraction record for ZrBeB4. The powder diffraction line list is computed, not measured: it uses DFT lattice parameters and positions (PBE) and Cu Kα (λ = 1.5418 Å).
Kinematic intensities with the Lorentz-polarization factor, no thermal factor.

```
ZrBeB4
1.0
5.738 0.000 0.000
0.000 11.123 0.000
0.000 0.000 3.276
Zr Be B
4 4 16
Direct
0.128 0.151 0.000
0.372 0.651 0.000
0.628 0.349 0.000
0.872 0.849 0.000
0.133 0.414 0.000
0.367 0.914 0.000
0.633 0.086 0.000
0.867 0.586 0.000
0.026 0.693 0.500
0.114 0.547 0.500
0.134 0.968 0.500
0.214 0.814 0.500
0.286 0.314 0.500
0.366 0.468 0.500
0.386 0.047 0.500
0.474 0.193 0.500
0.526 0.807 0.500
0.614 0.953 0.500
0.634 0.532 0.500
0.714 0.686 0.500
0.786 0.186 0.500
0.866 0.032 0.500
0.886 0.453 0.500
0.974 0.307 0.500
```

Top 8 peaks for 2θ from 10° to 80°, most intense first:
d = 2.119 Å, 2θ 42.67, I 100; d = 3.993 Å, 2θ 22.26, I 74; d = 2.779 Å, 2θ 32.21, I 69; d = 2.533 Å, 2θ 35.44, I 61; d = 2.257 Å, 2θ 39.94, I 49; d = 3.114 Å, 2θ 28.67, I 41; d = 5.099 Å, 2θ 17.39, I 41; d = 3.276 Å, 2θ 27.22, I 31

=====

(3)
Diffraction record for LiDyCd3. The powder diffraction line list is computed, not measured: it uses DFT lattice parameters and positions (PBE) and Cu Kα (λ = 1.5418 Å).
Kinematic intensities with the Lorentz-polarization factor, no thermal factor.

```
LiDyCd3
1.0
6.806 0.000 0.000
-3.403 5.894 0.000
0.000 0.000 5.513
Li Dy Cd
2 2 6
Direct
0.000 0.000 0.000
0.000 0.000 0.500
0.333 0.667 0.250
0.667 0.333 0.750
0.188 0.376 0.750
0.188 0.812 0.750
0.376 0.188 0.250
0.624 0.812 0.750
0.812 0.188 0.250
0.812 0.624 0.250
```

Top 8 peaks for 2θ from 10° to 80°, most intense first:
d = 2.599 Å, 2θ 34.51, I 100; d = 2.757 Å, 2θ 32.48, I 29; d = 2.947 Å, 2θ 30.33, I 23; d = 1.559 Å, 2θ 59.26, I 20; d = 1.448 Å, 2θ 64.34, I 17; d = 2.013 Å, 2θ 45.03, I 17; d = 1.701 Å, 2θ 53.89, I 15; d = 1.424 Å, 2θ 65.58, I 11

=====

(4)
Diffraction record for Ba3Al2Au4. The powder diffraction line list is computed, not measured: it uses DFT lattice parameters and positions (PBE) and Cu Kα (λ = 1.5418 Å).
Kinematic intensities with the Lorentz-polarization factor, no thermal factor.

```
Ba3Al2Au4
1.0
6.274 -2.351 0.000
6.274 2.351 0.000
-3.662 0.000 8.736
Ba Al Au
3 2 4
Direct
0.000 0.000 0.000
0.382 0.382 0.307
0.618 0.618 0.693
0.322 0.322 0.660
0.678 0.678 0.340
0.126 0.126 0.412
0.282 0.282 0.917
0.718 0.718 0.083
0.874 0.874 0.588
```

Top 8 peaks for 2θ from 10° to 80°, most intense first:
d = 3.125 Å, 2θ 28.56, I 100; d = 2.882 Å, 2θ 31.03, I 59; d = 2.351 Å, 2θ 38.28, I 24; d = 2.488 Å, 2θ 36.10, I 23; d = 2.476 Å, 2θ 36.29, I 20; d = 1.880 Å, 2θ 48.41, I 18; d = 1.705 Å, 2θ 53.77, I 13; d = 1.675 Å, 2θ 54.81, I 12

=====

(5)
Diffraction record for HoZn12Cu7. The powder diffraction line list is computed, not measured: it uses DFT lattice parameters and positions (PBE) and Cu Kα (λ = 1.5418 Å).
Kinematic intensities with the Lorentz-polarization factor, no thermal factor.

```
HoZn12Cu7
1.0
-4.449 4.449 4.449
4.449 -4.449 4.449
4.449 4.449 -4.449
Ho Zn Cu
1 12 7
Direct
0.000 0.000 0.000
0.105 0.758 0.347
0.242 0.347 0.590
0.242 0.653 0.895
0.347 0.105 0.758
0.347 0.590 0.242
0.410 0.758 0.653
0.590 0.242 0.347
0.653 0.410 0.758
0.653 0.895 0.242
0.758 0.347 0.105
0.758 0.653 0.410
0.895 0.242 0.653
0.000 0.000 0.500
0.000 0.500 0.000
0.000 0.500 0.500
0.500 0.000 0.000
0.500 0.000 0.500
0.500 0.500 0.000
0.500 0.500 0.500
```

Top 8 peaks for 2θ from 10° to 80°, most intense first:
d = 1.816 Å, 2θ 50.23, I 100; d = 2.225 Å, 2θ 40.55, I 63; d = 3.633 Å, 2θ 24.50, I 57; d = 1.990 Å, 2θ 45.59, I 45; d = 3.146 Å, 2θ 28.37, I 44; d = 2.814 Å, 2θ 31.80, I 44; d = 2.378 Å, 2θ 37.83, I 33; d = 2.569 Å, 2θ 34.93, I 19

=====

(6)
Diffraction record for DySi2Bi2Pt7. The powder diffraction line list is computed, not measured: it uses DFT lattice parameters and positions (PBE) and Cu Kα (λ = 1.5418 Å).
Kinematic intensities with the Lorentz-polarization factor, no thermal factor.

```
DySi2Bi2Pt7
1.0
-2.007 2.007 15.081
2.007 -2.007 15.081
2.007 2.007 -15.081
Dy Si Bi Pt
1 2 2 7
Direct
0.000 0.000 0.000
0.383 0.383 0.000
0.617 0.617 0.000
0.209 0.209 0.000
0.791 0.791 0.000
0.073 0.573 0.500
0.305 0.305 0.000
0.427 0.927 0.500
0.500 0.500 0.000
0.573 0.073 0.500
0.695 0.695 0.000
0.927 0.427 0.500
```

Top 8 peaks for 2θ from 10° to 80°, most intense first:
d = 2.472 Å, 2θ 36.35, I 100; d = 2.007 Å, 2θ 45.17, I 76; d = 2.067 Å, 2θ 43.79, I 56; d = 2.790 Å, 2θ 32.09, I 55; d = 2.657 Å, 2θ 33.74, I 50; d = 7.540 Å, 2θ 11.74, I 34; d = 3.770 Å, 2θ 23.60, I 32; d = 3.016 Å, 2θ 29.62, I 28

=====

(7)
Diffraction record for NdSbPd. The powder diffraction line list is computed, not measured: it uses DFT lattice parameters and positions (PBE) and Cu Kα (λ = 1.5418 Å).
Kinematic intensities with the Lorentz-polarization factor, no thermal factor.

```
NdSbPd
1.0
4.595 0.000 0.000
-2.297 3.979 0.000
0.000 0.000 16.180
Nd Sb Pd
4 4 4
Direct
0.000 0.000 0.000
0.000 0.000 0.250
0.000 0.000 0.500
0.000 0.000 0.750
0.333 0.667 0.119
0.333 0.667 0.381
0.667 0.333 0.619
0.667 0.333 0.881
0.333 0.667 0.636
0.333 0.667 0.864
0.667 0.333 0.136
0.667 0.333 0.364
```

Top 8 peaks for 2θ from 10° to 80°, most intense first:
d = 2.837 Å, 2θ 31.54, I 100; d = 2.297 Å, 2θ 39.21, I 59; d = 1.518 Å, 2θ 61.04, I 28; d = 1.785 Å, 2θ 51.17, I 25; d = 1.410 Å, 2θ 66.31, I 23; d = 2.022 Å, 2θ 44.81, I 12; d = 1.326 Å, 2θ 71.07, I 10; d = 1.277 Å, 2θ 74.27, I 7

=====

(8)
Diffraction record for SiAgSe3. The powder diffraction line list is computed, not measured: it uses DFT lattice parameters and positions (PBE) and Cu Kα (λ = 1.5418 Å).
Kinematic intensities with the Lorentz-polarization factor, no thermal factor.

```
SiAgSe3
1.0
6.562 0.000 0.000
-3.281 5.683 0.000
0.000 0.000 6.196
Si Ag Se
2 2 6
Direct
0.000 0.000 0.250
0.000 0.000 0.750
0.333 0.667 0.250
0.667 0.333 0.750
0.000 0.293 0.500
0.000 0.707 0.000
0.293 0.000 0.500
0.293 0.293 0.000
0.707 0.000 0.000
0.707 0.707 0.500
```

Top 8 peaks for 2θ from 10° to 80°, most intense first:
d = 2.900 Å, 2θ 30.84, I 100; d = 2.253 Å, 2θ 40.03, I 81; d = 4.188 Å, 2θ 21.21, I 64; d = 1.894 Å, 2θ 48.03, I 42; d = 2.029 Å, 2θ 44.65, I 33; d = 1.748 Å, 2θ 52.34, I 22; d = 2.583 Å, 2θ 34.73, I 18; d = 1.450 Å, 2θ 64.25, I 17

=====

(9)
Diffraction record for Rb2Ag2I5. The powder diffraction line list is computed, not measured: it uses DFT lattice parameters and positions (PBE) and Cu Kα (λ = 1.5418 Å).
Kinematic intensities with the Lorentz-polarization factor, no thermal factor.

```
Rb2Ag2I5
1.0
7.786 -2.939 0.000
7.786 2.939 0.000
-2.675 0.000 8.521
Rb Ag I
2 2 5
Direct
0.106 0.106 0.289
0.894 0.894 0.711
0.350 0.350 0.134
0.650 0.650 0.866
0.170 0.170 0.895
0.354 0.354 0.449
0.500 0.500 0.000
0.646 0.646 0.551
0.830 0.830 0.105
```

Top 8 peaks for 2θ from 10° to 80°, most intense first:
d = 2.939 Å, 2θ 30.41, I 100; d = 3.199 Å, 2θ 27.89, I 97; d = 3.556 Å, 2θ 25.04, I 86; d = 2.422 Å, 2θ 37.11, I 67; d = 3.854 Å, 2θ 23.08, I 52; d = 3.714 Å, 2θ 23.96, I 49; d = 1.869 Å, 2θ 48.72, I 44; d = 8.521 Å, 2θ 10.38, I 44

=====

(10)
Diffraction record for FeB6N6. The powder diffraction line list is computed, not measured: it uses DFT lattice parameters and positions (PBE) and Cu Kα (λ = 1.5418 Å).
Kinematic intensities with the Lorentz-polarization factor, no thermal factor.

```
FeB6N6
1.0
4.526 0.000 0.000
0.000 4.526 0.000
0.000 0.000 4.526
Fe B N
1 6 6
Direct
0.000 0.000 0.000
0.000 0.244 0.500
0.000 0.756 0.500
0.244 0.500 0.000
0.500 0.000 0.244
0.500 0.000 0.756
0.756 0.500 0.000
0.000 0.500 0.252
0.000 0.500 0.748
0.252 0.000 0.500
0.500 0.252 0.000
0.500 0.748 0.000
0.748 0.000 0.500
```

Top 8 peaks for 2θ from 10° to 80°, most intense first:
d = 4.526 Å, 2θ 19.62, I 100; d = 1.848 Å, 2θ 49.32, I 84; d = 2.024 Å, 2θ 44.78, I 47; d = 2.263 Å, 2θ 39.84, I 43; d = 1.210 Å, 2θ 79.19, I 34; d = 2.613 Å, 2θ 34.32, I 30; d = 1.509 Å, 2θ 61.47, I 19; d = 1.365 Å, 2θ 68.80, I 10

=====

(11)
Diffraction record for Tb5CeNd8. The powder diffraction line list is computed, not measured: it uses DFT lattice parameters and positions (PBE) and Cu Kα (λ = 1.5418 Å).
Kinematic intensities with the Lorentz-polarization factor, no thermal factor.

```
Tb5CeNd8
1.0
7.749 -4.209 0.000
7.749 4.209 0.000
-4.431 0.000 7.445
Tb Ce Nd
5 1 8
Direct
0.000 0.000 0.000
0.225 0.556 0.019
0.444 0.775 0.981
0.591 0.306 0.722
0.694 0.409 0.278
0.313 0.687 0.500
0.058 0.569 0.573
0.082 0.165 0.688
0.379 0.265 0.275
0.431 0.942 0.427
0.551 0.082 0.932
0.735 0.621 0.725
0.835 0.918 0.312
0.918 0.449 0.068
```

Top 8 peaks for 2θ from 10° to 80°, most intense first:
d = 2.787 Å, 2θ 32.11, I 100; d = 2.847 Å, 2θ 31.43, I 68; d = 2.869 Å, 2θ 31.18, I 68; d = 2.981 Å, 2θ 29.98, I 62; d = 2.746 Å, 2θ 32.61, I 41; d = 2.964 Å, 2θ 30.16, I 38; d = 2.915 Å, 2θ 30.67, I 37; d = 3.016 Å, 2θ 29.62, I 34